Computed X-ray diffraction stick pattern
Compound: Li3VCr4O8
Radiation: λ = 1.5418 Å (Cu Kα)
Structure: a structure optimized by DFT (PBE+U)
No peak broadening, texture or thermal motion is included.

Most intense lines, 10 to 90 degrees two-theta, sorted by position:
| d_spacing | I_rel |
| --- | --- |
| 4.874 | 72 |
| 2.549 | 23 |
| 2.464 | 23 |
| 2.218 | 58 |
| 2.098 | 100 |
| 1.539 | 30 |
| 1.509 | 28 |
| 1.482 | 18 |

Structure:
abc: 6.0463 6.0463 5.9443
angles: 118.09 118.09 58.69
Sites, in units of the cell vectors:
Li (0.0000, 0.0000, 0.0000)
Li (0.0000, 0.5000, 0.5000)
Li (0.5000, 0.0000, 0.5000)
V (0.5000, 0.5000, 0.5000)
Cr (0.0000, 0.0000, 0.5000)
Cr (0.0000, 0.5000, 0.0000)
Cr (0.5000, 0.0000, 0.0000)
Cr (0.5000, 0.5000, 0.0000)
O (0.2330, 0.7306, 0.2279)
O (0.2555, 0.2555, 0.2394)
O (0.2671, 0.2671, 0.7792)
O (0.2694, 0.7670, 0.7721)
O (0.7306, 0.2330, 0.2279)
O (0.7329, 0.7329, 0.2208)
O (0.7445, 0.7445, 0.7606)
O (0.7670, 0.2694, 0.7721)